No. 1
# MgBe2Co4O8
Simulated powder diffractogram, Cu Kα, 1.54184 Å. Input: DFT lattice parameters and positions (GGA+U).
Lines closer than 0.1° are merged.

Principal peaks in the range 2θ from 10° to 90°, sorted by position:
4.814 Å, I = 59, (0 1 1)
4.756 Å, I = 90, (1 0 1)
4.571 Å, I = 35, (0 0 2)
2.683 Å, I = 45, (0 1 3)
2.673 Å, I = 30, (1 0 3)
2.433 Å, I = 39, (1 2 1)
2.409 Å, I = 100, (2 1 1)
1.985 Å, I = 80, (2 2 0)
1.821 Å, I = 26, (2 2 2)
1.767 Å, I = 32, (2 0 4)

Structural model:
Cell: 5.569 5.662 9.142 Å, 90.00 90.00 90.00°
Space group Imm2 (No. 44)
Unique sites:
Mg  0.000  0.000  0.000 x2
Be  0.000  0.000  0.738 x2
Be  0.000  0.500  0.565 x2
Co  0.000  0.269  0.233 x4
Co  0.239  0.500  0.907 x4
O  0.000  0.244  0.861 x4
O  0.000  0.263  0.438 x4
O  0.235  0.000  0.158 x4
O  0.235  0.500  0.159 x4


No. 2
# LiMo2P3O13
Simulated powder diffractogram, Cu Kα, 1.54184 Å. Input: DFT lattice parameters and positions (GGA+U).
Lines closer than 0.1° are merged.

Principal peaks in the range 2θ from 10° to 90°, sorted by position:
7.302 Å, I = 25, (0 1 0)
5.242 Å, I = 69, (1 1 0)
4.989 Å, I = 66, (0 1 2)
4.207 Å, I = 26, (1 1 2)
3.984 Å, I = 100, (0 1 -2)
3.700 Å, I = 16, (-1 1 2)
3.648 Å, I = 17, (0 2 0)
3.429 Å, I = 42, (0 2 2)
3.184 Å, I = 54, (2 0 0)
3.111 Å, I = 17, (2 1 0)

Structural model:
Cell: 6.467 7.618 11.361 Å, 76.31 86.52 80.05°
Space group P-1 (No. 2)
Unique sites:
Li  0.196  0.069  0.315 x2
Mo  0.216  0.699  0.593 x2
Mo  0.239  0.699  0.096 x2
P  0.122  0.969  0.813 x2
P  0.261  0.294  0.833 x2
P  0.266  0.433  0.386 x2
O  0.079  0.281  0.926 x2
O  0.104  0.302  0.388 x2
O  0.110  0.960  0.166 x2
O  0.134  0.870  0.709 x2
O  0.215  0.867  0.462 x2
O  0.225  0.604  0.282 x2
O  0.241  0.478  0.745 x2
O  0.242  0.854  0.924 x2
O  0.245  0.139  0.758 x2
O  0.257  0.492  0.507 x2
O  0.304  0.486  0.072 x2
O  0.474  0.234  0.894 x2
O  0.479  0.309  0.372 x2


No. 3
# Li7Co5O12
Simulated powder diffractogram, Cu Kα, 1.54184 Å. Input: DFT lattice parameters and positions (GGA+U).
Lines closer than 0.1° are merged.

Principal peaks in the range 2θ from 10° to 90°, sorted by position:
4.799 Å, I = 100, (0 1 1)
2.504 Å, I = 14, (1 1 -2)
2.473 Å, I = 13, (2 0 0)
2.452 Å, I = 12, (1 0 3)
2.378 Å, I = 7, (2 1 1)
2.088 Å, I = 29, (1 2 -1)
2.055 Å, I = 27, (-2 1 1)
2.040 Å, I = 26, (1 1 4)
1.467 Å, I = 15, (1 -3 0)
1.464 Å, I = 8, (3 1 -2)

Structural model:
Cell: 5.028 5.113 8.672 Å, 73.31 85.21 79.91°
Space group P-1 (No. 2)
Unique sites:
Li  0.000  0.000  0.000 x1
Li  0.244  0.411  0.081 x2
Li  0.249  0.081  0.416 x2
Li  0.253  0.749  0.753 x2
Co  0.000  0.326  0.677 x2
Co  0.493  0.839  0.162 x2
Co  0.500  0.500  0.500 x1
O  0.132  0.694  0.533 x2
O  0.145  0.364  0.863 x2
O  0.154  0.019  0.208 x2
O  0.379  0.492  0.282 x2
O  0.381  0.133  0.639 x2
O  0.397  0.817  0.966 x2